# CuAs2Au
Simulated PXRD pattern, Cu Kα (λ = 1.5418 Å). Input: DFT lattice parameters and positions (PBE).
Kinematic intensities with the Lorentz-polarization factor, no thermal factor.

Largest 12 diffraction maxima, most intense first, 2θ from 10° to 80°:
| 2θ (°) | intensity |
| --- | --- |
| 35.07 | 100 |
| 13.92 | 75 |
| 26.23 | 71 |
| 44.71 | 68 |
| 42.80 | 55 |
| 46.43 | 47 |
| 28.05 | 44 |
| 55.04 | 32 |
| 36.65 | 31 |
| 24.43 | 28 |
| 35.74 | 26 |
| 44.23 | 24 |

Structural model:
abc: 4.474 4.474 6.381
angles: 94.11 94.11 38.17
Fractional positions:
Cu  0.000  0.000  0.000
As  0.287  0.287  0.111
As  0.328  0.328  0.506
Au  0.612  0.612  0.683